# 1
The following is a theoretical powder diffractogram of TbCdGa2. It was derived from the GGA-PBE geometry in OQMD, using Cu Kα (λ = 1.5418 Å).
Neutral-atom scattering factors, no anomalous dispersion.

Peak list (12 most intense, 2θ from 15° to 90°, in order of falling intensity)
index, 2θ/deg, d [Å], Rel. int.
1 2 2, 38.03, 2.366, 100
1 4 0, 37.18, 2.418, 62
2 0 0, 37.78, 2.381, 37
0 2 2, 32.85, 2.727, 31
1 1 1, 24.82, 3.587, 20
2 6 2, 70.80, 1.331, 20
0 6 2, 57.42, 1.605, 19
2 2 2, 50.92, 1.793, 18
3 2 2, 68.38, 1.372, 17
1 4 4, 72.05, 1.311, 16
3 4 0, 67.82, 1.382, 10
2 0 4, 72.44, 1.305, 10

Structure:
Cell lengths 4.7621, 11.2294, 6.2386 Å; angles 90.00, 90.00, 90.00 degrees
Space group Ama2 (No. 40)
Symmetry-distinct sites (fractional):
Tb1 0.2500 0.1727 0.0000 x4
Cd1 0.2500 0.4228 0.7700 x4
Ga1 0.2500 0.1552 0.5113 x4
Ga2 0.2500 0.4273 0.2443 x4

=====

# 2
The following is a theoretical powder diffractogram of Tb2CdGa5. It was derived from the GGA-PBE geometry in OQMD, using Cu Kα (λ = 1.5418 Å).
Neutral-atom scattering factors, no anomalous dispersion.

Peak list (12 most intense, 2θ from 15° to 90°, in order of falling intensity)
index, 2θ/deg, d [Å], Rel. int.
1 2 2, 37.99, 2.368, 100
1 0 4, 38.33, 2.348, 43
2 0 0, 39.17, 2.300, 31
0 2 2, 32.41, 2.763, 22
2 2 6, 72.50, 1.304, 16
0 2 6, 58.30, 1.583, 16
3 2 2, 70.21, 1.341, 16
0 0 4, 32.79, 2.731, 15
1 0 2, 25.31, 3.518, 15
1 1 1, 25.19, 3.535, 12
2 2 2, 51.72, 1.767, 11
1 4 4, 71.28, 1.323, 11

Structure:
Cell lengths 4.5995, 6.4051, 10.9239 Å; angles 90.00, 90.00, 90.00 degrees
Space group Amm2 (No. 38)
Symmetry-distinct sites (fractional):
Tb1 0.0000 0.0000 0.0000 x2
Tb2 0.5000 0.0000 0.3238 x2
Cd1 0.5000 0.0000 0.8143 x2
Ga1 0.0000 0.0000 0.5126 x2
Ga2 0.0000 0.2228 0.7328 x4
Ga3 0.5000 0.2265 0.5795 x4